(1)
The following is a theoretical powder X-ray diffraction pattern of Er3AlN. It was derived from DFT lattice parameters and positions (PBE), using CuKα.

Main lines, most intense first (2θ = 10–90°):
| d/Å | I/Imax | index |
| --- | --- | --- |
| 2.722 | 100 | 1 1 1 |
| 2.358 | 56 | 2 0 0 |
| 1.422 | 42 | 3 1 1 |
| 1.667 | 38 | 2 2 0 |
| 4.715 | 27 | 1 0 0 |
| 3.334 | 15 | 1 1 0 |
| 1.361 | 13 | 2 2 2 |
| 2.109 | 13 | 2 1 0 |
| 1.925 | 7 | 2 1 1 |
| 1.572 | 6 | 3 0 0 |

Atomic structure:
```
data_Er3AlN
_chemical_formula_sum 'Er3 Al1 N1'
_space_group_name_H-M_alt 'P m -3 m'
_space_group_IT_number 221
_space_group_name_Hall '-P 4 2 3'
_cell_length_a 4.715
_cell_length_b 4.715
_cell_length_c 4.715
_cell_angle_alpha 90.00
_cell_angle_beta 90.00
_cell_angle_gamma 90.00
loop_
_atom_site_label
_atom_site_type_symbol
_atom_site_fract_x
_atom_site_fract_y
_atom_site_fract_z
Er1 Er 0.000 0.000 0.500
Al1 Al 0.500 0.500 0.500
N1 N 0.000 0.000 0.000
```

=====

(2)
The following is a theoretical powder X-ray diffraction pattern of DyNi4P2. It was derived from DFT lattice parameters and positions (PBE), using CuKα.

Main lines, most intense first (2θ = 10–90°):
| d/Å | I/Imax | index |
| --- | --- | --- |
| 2.379 | 100 | 2 1 1 |
| 2.243 | 47 | 3 1 0 |
| 1.319 | 23 | 5 0 1 |
| 2.057 | 22 | 2 2 1 |
| 1.903 | 21 | 3 1 1 |
| 1.403 | 20 | 3 1 2 |
| 1.799 | 19 | 0 0 2 |
| 3.209 | 19 | 1 0 1 |
| 1.122 | 15 | 6 2 0 |
| 1.552 | 13 | 4 1 1 |

Atomic structure:
```
data_DyNi4P2
_chemical_formula_sum 'Dy2 Ni8 P4'
_space_group_name_H-M_alt 'P 42/m n m'
_space_group_IT_number 136
_space_group_name_Hall '-P 4n 2n'
_cell_length_a 7.091
_cell_length_b 7.091
_cell_length_c 3.598
_cell_angle_alpha 90.00
_cell_angle_beta 90.00
_cell_angle_gamma 90.00
loop_
_atom_site_label
_atom_site_type_symbol
_atom_site_fract_x
_atom_site_fract_y
_atom_site_fract_z
Dy1 Dy 0.000 0.000 0.000
Ni1 Ni 0.085 0.337 0.500
P1 P 0.220 0.780 0.500
```

=====

(3)
The following is a theoretical powder X-ray diffraction pattern of Sr2YTiCu2O7. It was derived from DFT lattice parameters and positions (PBE), using CuKα.

Main lines, most intense first (2θ = 10–90°):
| d/Å | I/Imax | index |
| --- | --- | --- |
| 2.766 | 100 | 2 0 1 |
| 2.341 | 59 | 1 1 -3 |
| 1.977 | 36 | 2 2 2 |
| 2.829 | 30 | 0 2 1 |
| 3.269 | 14 | 1 1 -1 |
| 1.500 | 13 | -3 1 3 |
| 1.621 | 12 | 1 3 5 |
| 1.521 | 10 | -1 3 5 |
| 1.949 | 7 | 2 2 1 |
| 2.324 | 7 | 0 0 5 |

Atomic structure:
```
data_Sr2YTiCu2O7
_chemical_formula_sum 'Sr4 Y2 Ti2 Cu4 O14'
_space_group_name_H-M_alt 'P 1'
_space_group_IT_number 1
_cell_length_a 5.528
_cell_length_b 5.658
_cell_length_c 12.272
_cell_angle_alpha 76.69
_cell_angle_beta 77.05
_cell_angle_gamma 89.99
loop_
_space_group_symop_operation_xyz
'x,y,z'
loop_
_atom_site_label
_atom_site_type_symbol
_atom_site_fract_x
_atom_site_fract_y
_atom_site_fract_z
Sr1 Sr 0.000 0.000 0.000
Sr2 Sr 0.219 0.218 0.563
Sr3 Sr 0.500 0.449 0.000
Sr4 Sr 0.720 0.667 0.563
Y1 Y 0.369 0.333 0.282
Y2 Y 0.869 0.834 0.282
Ti1 Ti 0.072 0.659 0.781
Ti2 Ti 0.572 0.009 0.782
Cu1 Cu 0.307 0.775 0.405
Cu2 Cu 0.430 0.891 0.158
Cu3 Cu 0.807 0.269 0.405
Cu4 Cu 0.930 0.398 0.158
O1 O 0.047 0.530 0.408
O2 O 0.063 0.028 0.412
O3 O 0.093 0.453 0.912
O4 O 0.173 0.136 0.156
O5 O 0.194 0.638 0.151
O6 O 0.219 0.586 0.650
O7 O 0.228 0.959 0.782
O8 O 0.547 0.512 0.407
O9 O 0.563 0.008 0.413
O10 O 0.591 0.083 0.913
O11 O 0.673 0.155 0.156
O12 O 0.694 0.659 0.151
O13 O 0.721 0.212 0.651
O14 O 0.728 0.708 0.783
```

=====

(4)
The following is a theoretical powder X-ray diffraction pattern of Mg3Au. It was derived from DFT lattice parameters and positions (PBE), using CuKα.

Main lines, most intense first (2θ = 10–90°):
| d/Å | I/Imax | index |
| --- | --- | --- |
| 2.342 | 100 | 3 0 0 |
| 3.671 | 94 | 1 1 1 |
| 4.292 | 35 | 0 0 2 |
| 2.058 | 33 | 3 0 2 |
| 4.061 | 24 | 1 1 0 |
| 1.353 | 23 | 3 3 0 |
| 1.582 | 22 | 3 0 4 |
| 1.976 | 19 | 2 2 1 |
| 1.511 | 18 | 4 1 1 |
| 1.656 | 18 | 2 2 3 |

Atomic structure:
```
data_Mg3Au
_chemical_formula_sum 'Mg18 Au6'
_space_group_name_H-M_alt 'P 63 c m'
_space_group_IT_number 185
_space_group_name_Hall 'P 6c -2'
_cell_length_a 8.1218
_cell_length_b 8.1218
_cell_length_c 8.5849
_cell_angle_alpha 90.00
_cell_angle_beta 90.00
_cell_angle_gamma 120.00
loop_
_atom_site_label
_atom_site_type_symbol
_atom_site_fract_x
_atom_site_fract_y
_atom_site_fract_z
Mg1 Mg 0.0000 0.0000 0.0000
Mg2 Mg 0.0000 0.2803 0.2580
Mg3 Mg 0.0000 0.3751 0.6013
Mg4 Mg 0.3333 0.6667 0.3822
Au1 Au 0.0000 0.3283 0.9300
```

=====

(5)
The following is a theoretical powder X-ray diffraction pattern of Rb3TbCl6. It was derived from DFT lattice parameters and positions (PBE), using CuKα.

Main lines, most intense first (2θ = 10–90°):
| d/Å | I/Imax | index |
| --- | --- | --- |
| 3.820 | 100 | 1 1 -3 |
| 2.791 | 79 | 6 2 -2 |
| 3.955 | 67 | 5 1 1 |
| 6.448 | 50 | 1 1 1 |
| 4.010 | 29 | 0 2 0 |
| 5.581 | 28 | 3 1 -1 |
| 1.909 | 27 | 2 2 -6 |
| 2.706 | 27 | 4 0 4 |
| 2.933 | 23 | 6 2 -1 |
| 2.909 | 23 | 4 2 2 |

Atomic structure:
```
data_Rb3TbCl6
_chemical_formula_sum 'Rb24 Tb8 Cl48'
_space_group_name_H-M_alt 'C 1 2/c 1'
_space_group_IT_number 15
_cell_length_a 26.208
_cell_length_b 8.020
_cell_length_c 13.029
_cell_angle_alpha 90.00
_cell_angle_beta 99.42
_cell_angle_gamma 90.00
loop_
_space_group_symop_operation_xyz
'x,y,z'
'-x,-y,-z'
'-x,y,-z+1/2'
'x,-y,z+1/2'
'x+1/2,y+1/2,z'
'-x+1/2,-y+1/2,-z'
'-x+1/2,y+1/2,-z+1/2'
'x+1/2,-y+1/2,z+1/2'
loop_
_atom_site_label
_atom_site_type_symbol
_atom_site_fract_x
_atom_site_fract_y
_atom_site_fract_z
Rb1 Rb 0.050 0.247 0.433
Rb2 Rb 0.154 0.188 0.144
Rb3 Rb 0.162 0.313 0.800
Tb1 Tb 0.000 0.283 0.750
Tb2 Tb 0.250 0.250 0.500
Cl1 Cl 0.058 0.275 0.935
Cl2 Cl 0.059 0.055 0.679
Cl3 Cl 0.059 0.472 0.196
Cl4 Cl 0.172 0.050 0.419
Cl5 Cl 0.177 0.460 0.534
Cl6 Cl 0.250 0.109 0.686
```